Record 1
Structure and theoretical powder X-ray diffraction pattern of Li7Mn2Co3O12 (the GGA+U geometry in the Materials Project; copper Kα).
Lines closer than 0.1° are merged.

Cell and atoms:
Unit cell a=3.006 b=5.011 c=14.452 alpha=87.63 beta=88.75 gamma=88.47
Space group P1 (No. 1)
Symmetry-distinct sites (fractional):
Li 0.000 0.000 0.000 (multiplicity 1)
Li 0.002 0.001 0.505 (multiplicity 1)
Li 0.008 0.667 0.841 (multiplicity 1)
Li 0.494 0.156 0.841 (multiplicity 1)
Li 0.498 0.843 0.158 (multiplicity 1)
Li 0.502 0.500 0.505 (multiplicity 1)
Li 0.990 0.331 0.158 (multiplicity 1)
Mn 0.498 0.167 0.333 (multiplicity 1)
Mn 0.998 0.667 0.333 (multiplicity 1)
Co 0.001 0.332 0.671 (multiplicity 1)
Co 0.500 0.500 0.000 (multiplicity 1)
Co 0.501 0.831 0.671 (multiplicity 1)
O 0.007 0.656 0.593 (multiplicity 1)
O 0.013 0.353 0.929 (multiplicity 1)
O 0.038 0.341 0.412 (multiplicity 1)
O 0.459 0.495 0.256 (multiplicity 1)
O 0.492 0.506 0.746 (multiplicity 1)
O 0.496 0.794 0.926 (multiplicity 1)
O 0.503 0.205 0.074 (multiplicity 1)
O 0.507 0.154 0.593 (multiplicity 1)
O 0.538 0.842 0.411 (multiplicity 1)
O 0.959 0.992 0.254 (multiplicity 1)
O 0.986 0.647 0.072 (multiplicity 1)
O 0.993 0.008 0.749 (multiplicity 1)

Main lines, low angle first (2θ from 15° to 90°):
2θ = 18.44°, I = 100, hkl 0 0 3
2θ = 34.74°, I = 17, hkl 1 1 1
2θ = 35.78°, I = 14, hkl -1 1 1
2θ = 36.70°, I = 10, hkl 0 2 -1
2θ = 41.96°, I = 32, hkl 1 1 4
2θ = 43.42°, I = 29, hkl -1 1 4
2θ = 44.91°, I = 25, hkl 0 2 -4
2θ = 61.75°, I = 9, hkl 2 0 0
2θ = 62.19°, I = 8, hkl 0 2 8
2θ = 64.60°, I = 9, hkl 1 -3 0

***

Record 2
Structure and theoretical powder X-ray diffraction pattern of Li5Mn2CoO8 (the GGA+U geometry in the Materials Project; copper Kα).
Lines closer than 0.1° are merged.

Cell and atoms:
Unit cell a=2.894 b=7.798 c=12.596 alpha=88.46 beta=89.88 gamma=79.94
Space group P-1 (No. 2)
Symmetry-distinct sites (fractional):
Li 0.079 0.361 0.187 (multiplicity 2)
Li 0.189 0.126 0.572 (multiplicity 2)
Li 0.252 0.997 0.249 (multiplicity 2)
Li 0.311 0.875 0.928 (multiplicity 2)
Li 0.420 0.639 0.309 (multiplicity 2)
Mn 0.129 0.247 0.873 (multiplicity 2)
Mn 0.363 0.758 0.632 (multiplicity 2)
Co 0.000 0.500 0.500 (multiplicity 1)
Co 0.500 0.500 0.000 (multiplicity 1)
O 0.056 0.415 0.348 (multiplicity 2)
O 0.081 0.333 0.024 (multiplicity 2)
O 0.155 0.199 0.732 (multiplicity 2)
O 0.212 0.084 0.404 (multiplicity 2)
O 0.296 0.912 0.092 (multiplicity 2)
O 0.341 0.808 0.772 (multiplicity 2)
O 0.388 0.677 0.476 (multiplicity 2)
O 0.455 0.579 0.144 (multiplicity 2)

Main lines, low angle first (2θ from 15° to 90°):
2θ = 17.98°, I = 9, hkl 0 1 2
2θ = 18.47°, I = 100, hkl 0 1 -2
2θ = 26.88°, I = 8, hkl 0 2 2
2θ = 36.12°, I = 12, hkl -1 1 1
2θ = 36.43°, I = 24, hkl 0 2 4
2θ = 43.46°, I = 31, hkl 1 -2 1
2θ = 43.98°, I = 30, hkl 1 3 -1
2θ = 44.45°, I = 29, hkl 0 1 6
2θ = 63.83°, I = 9, hkl 1 -1 7
2θ = 64.40°, I = 9, hkl 2 1 0

***

Number 1 is which compound? Li7Mn2Co3O12